For Zr2Zn2Pt, a structure optimized by DFT (PBE) gives the theoretical XRD peak list in this record (Cu Kα X-rays).

Most intense lines, 10° ≤ 2θ ≤ 90°, sorted by position:
d (Å)	intensity	index
3.019	36	1 1 1
2.553	69	2 0 1
2.390	100	2 2 0
2.141	62	3 1 0
1.945	25	0 0 2
1.876	26	3 1 1
1.513	18	4 2 0
1.476	13	3 3 1
1.440	34	3 1 2
1.256	17	5 1 1

```
data_Zr2Zn2Pt
_chemical_formula_sum 'Zr4 Zn4 Pt2'
_space_group_name_H-M_alt 'P 4/m b m'
_space_group_IT_number 127
_space_group_name_Hall '-P 4 2ab'
_cell_length_a 6.7696
_cell_length_b 6.7696
_cell_length_c 3.8898
_cell_angle_alpha 90.00
_cell_angle_beta 90.00
_cell_angle_gamma 90.00
loop_
_atom_site_label
_atom_site_fract_x
_atom_site_fract_y
_atom_site_fract_z
_atom_site_occupancy
Zr1 0.1729 0.3271 0.0000 1
Zn1 0.1289 0.6289 0.5000 1
Pt1 0.0000 0.0000 0.5000 1
```